Calculated powder diffractogram of Rb3HgSb2 for Cu Kα, from a PBE-relaxed structure.
Lines closer than 0.1° are merged.

Crystal structure
```
Rb3HgSb2
1.0
8.8569 0.0000 0.0000
0.0000 12.7820 0.0000
-4.1011 0.0000 11.1025
Rb Hg Sb
12 4 8
direct
0.2044 0.0123 0.3856 Rb
0.2044 0.4877 0.8856 Rb
0.2467 0.0642 0.9797 Rb
0.2467 0.4358 0.4797 Rb
0.2895 0.7305 0.1841 Rb
0.2895 0.7695 0.6841 Rb
0.7105 0.2305 0.3159 Rb
0.7105 0.2695 0.8159 Rb
0.7533 0.5642 0.5203 Rb
0.7533 0.9358 0.0203 Rb
0.7956 0.5123 0.1144 Rb
0.7956 0.9877 0.6144 Rb
0.2145 0.1764 0.6733 Hg
0.2145 0.3236 0.1733 Hg
0.7855 0.6764 0.8267 Hg
0.7855 0.8236 0.3267 Hg
0.0356 0.6938 0.3732 Sb
0.0356 0.8062 0.8732 Sb
0.4517 0.0347 0.7264 Sb
0.4517 0.4653 0.2264 Sb
0.5483 0.5347 0.7736 Sb
0.5483 0.9653 0.2736 Sb
0.9644 0.1938 0.1268 Sb
0.9644 0.3062 0.6268 Sb
```

Top 8 peaks for 15 to 90 degrees two-theta, by angle:
5.598 Å, 15.83°, I = 37; 5.546 Å, 15.98°, I = 56; 5.128 Å, 17.29°, I = 39; 5.080 Å, 17.46°, I = 95; 3.430 Å, 25.98°, I = 100; 3.400 Å, 26.21°, I = 70; 2.959 Å, 30.21°, I = 69; 2.710 Å, 33.06°, I = 45

Calculated powder diffractogram of Rb3Hg4Sb2Te2 for Cu Kα, from a PBE-relaxed structure.
Lines closer than 0.1° are merged.

Crystal structure
```
Rb3Hg4Sb2Te2
1.0
-2.9091 2.9091 14.0233
2.9091 -2.9091 14.0233
2.9091 2.9091 -14.0233
Rb Hg Sb Te
3 4 2 2
direct
0.0000 0.0000 0.0000 Rb
0.1887 0.1887 0.0000 Rb
0.8113 0.8113 0.0000 Rb
0.0845 0.5845 0.5000 Hg
0.4155 0.9155 0.5000 Hg
0.5845 0.0845 0.5000 Hg
0.9155 0.4155 0.5000 Hg
0.4204 0.4204 0.0000 Sb
0.5796 0.5796 0.0000 Sb
0.3197 0.3197 0.0000 Te
0.6803 0.6803 0.0000 Te
```

Top 8 peaks for 15 to 90 degrees two-theta, by angle:
4.674 Å, 18.99°, I = 25; 3.948 Å, 22.52°, I = 37; 3.088 Å, 28.91°, I = 93; 2.909 Å, 30.73°, I = 100; 2.239 Å, 40.28°, I = 28; 2.057 Å, 44.02°, I = 37; 1.822 Å, 50.05°, I = 43; 1.712 Å, 53.52°, I = 34

Calculated powder diffractogram of RbScHgSe3 for Cu Kα, from a PBE-relaxed structure.
Lines closer than 0.1° are merged.

Crystal structure
```
RbScHgSe3
1.0
8.9168 0.0000 0.0000
0.0000 4.1386 0.0000
-3.6192 0.0000 9.7105
Rb Sc Hg Se
2 2 2 6
direct
0.2270 0.2500 0.2526 Rb
0.7730 0.7500 0.7474 Rb
0.3336 0.7500 0.8706 Sc
0.6664 0.2500 0.1294 Sc
0.0845 0.2500 0.6159 Hg
0.9155 0.7500 0.3841 Hg
0.1223 0.2500 0.8771 Se
0.2511 0.7500 0.5613 Se
0.4691 0.7500 0.1418 Se
0.5309 0.2500 0.8582 Se
0.7489 0.2500 0.4387 Se
0.8777 0.7500 0.1229 Se
```

Top 8 peaks for 15 to 90 degrees two-theta, by angle:
3.196 Å, 27.92°, I = 87; 2.940 Å, 30.40°, I = 100; 2.716 Å, 32.98°, I = 66; 2.651 Å, 33.82°, I = 47; 2.640 Å, 33.96°, I = 49; 2.149 Å, 42.04°, I = 59; 2.069 Å, 43.75°, I = 49; 1.758 Å, 52.01°, I = 46

Calculated powder diffractogram of Rb2HgSe2 for Cu Kα, from a PBE-relaxed structure.
Lines closer than 0.1° are merged.

Crystal structure
```
Rb2HgSe2
1.0
9.0495 -2.5038 0.0000
9.0495 2.5038 0.0000
-1.3657 0.0000 4.8260
Rb Hg Se
2 1 2
direct
0.1571 0.1571 0.1597 Rb
0.8429 0.8429 0.8403 Rb
0.5000 0.5000 0.5000 Hg
0.3588 0.3588 0.3553 Se
0.6412 0.6412 0.6447 Se
```

Top 8 peaks for 15 to 90 degrees two-theta, by angle:
4.816 Å, 18.42°, I = 60; 3.796 Å, 23.43°, I = 32; 3.544 Å, 25.13°, I = 100; 2.903 Å, 30.81°, I = 22; 2.506 Å, 35.84°, I = 40; 2.249 Å, 40.09°, I = 21; 2.242 Å, 40.23°, I = 20; 2.223 Å, 40.58°, I = 19

Calculated powder diffractogram of RbHg2Se2 for Cu Kα, from a PBE-relaxed structure.
Lines closer than 0.1° are merged.

Crystal structure
```
RbHg2Se2
1.0
-3.6680 3.6680 7.1722
3.6680 -3.6680 7.1722
3.6680 3.6680 -7.1722
Rb Hg Se
2 4 4
direct
0.3750 0.6250 0.7500 Rb
0.6250 0.3750 0.2500 Rb
0.0000 0.0000 0.0000 Hg
0.0000 0.0000 0.5000 Hg
0.0000 0.5000 0.0000 Hg
0.5000 0.0000 0.5000 Hg
0.1274 0.3774 0.7500 Se
0.3774 0.1274 0.2500 Se
0.6226 0.8726 0.7500 Se
0.8726 0.6226 0.2500 Se
```

Top 8 peaks for 15 to 90 degrees two-theta, by angle:
4.006 Å, 22.19°, I = 68; 3.668 Å, 24.27°, I = 26; 3.266 Å, 27.31°, I = 100; 3.198 Å, 27.90°, I = 82; 2.672 Å, 33.54°, I = 27; 2.102 Å, 43.04°, I = 78; 2.003 Å, 45.28°, I = 26; 1.599 Å, 57.65°, I = 26

Calculated powder diffractogram of Rb3Th3HgSe8 for Cu Kα, from a PBE-relaxed structure.
Lines closer than 0.1° are merged.

Crystal structure
```
Rb3Th3HgSe8
1.0
4.3911 2.5352 7.9726
-4.3911 2.5352 7.9726
0.0000 -5.0704 7.9726
Rb Th Hg Se
3 3 1 8
direct
0.0000 0.5000 0.5000 Rb
0.5000 0.0000 0.5000 Rb
0.5000 0.5000 0.0000 Rb
0.0000 0.0000 0.5000 Th
0.0000 0.5000 0.0000 Th
0.5000 0.0000 0.0000 Th
0.5000 0.5000 0.5000 Hg
0.2073 0.7441 0.7441 Se
0.2345 0.2345 0.2345 Se
0.2559 0.2559 0.7927 Se
0.2559 0.7927 0.2559 Se
0.7441 0.2073 0.7441 Se
0.7441 0.7441 0.2073 Se
0.7655 0.7655 0.7655 Se
0.7927 0.2559 0.2559 Se
```

Top 8 peaks for 15 to 90 degrees two-theta, by angle:
3.756 Å, 23.69°, I = 14; 3.209 Å, 27.80°, I = 100; 2.542 Å, 35.32°, I = 21; 2.350 Å, 38.30°, I = 35; 2.196 Å, 41.11°, I = 37; 2.117 Å, 42.72°, I = 14; 1.812 Å, 50.36°, I = 19; 1.398 Å, 66.96°, I = 16

Calculated powder diffractogram of RbTlHgSe2 for Cu Kα, from a PBE-relaxed structure.
Lines closer than 0.1° are merged.

Crystal structure
```
RbTlHgSe2
1.0
7.6269 0.0000 0.0000
0.0000 5.9814 0.0000
-0.2340 0.0000 8.6049
Rb Tl Hg Se
2 2 2 4
direct
0.0000 0.2113 0.2500 Rb
0.0000 0.7887 0.7500 Rb
0.5000 0.4514 0.2500 Tl
0.5000 0.5486 0.7500 Tl
0.5000 0.0000 0.0000 Hg
0.5000 0.0000 0.5000 Hg
0.2492 0.2351 0.9074 Se
0.2492 0.7649 0.4074 Se
0.7508 0.2351 0.5926 Se
0.7508 0.7649 0.0926 Se
```

Top 8 peaks for 15 to 90 degrees two-theta, by angle:
3.812 Å, 23.34°, I = 45; 3.493 Å, 25.50°, I = 97; 3.202 Å, 27.86°, I = 100; 3.149 Å, 28.34°, I = 84; 2.784 Å, 32.15°, I = 75; 2.604 Å, 34.44°, I = 42; 2.546 Å, 35.26°, I = 55; 2.352 Å, 38.26°, I = 56

Calculated powder diffractogram of Rb2U3HgSe8 for Cu Kα, from a PBE-relaxed structure.
Lines closer than 0.1° are merged.

Crystal structure
```
Rb2U3HgSe8
1.0
4.2000 2.4249 8.5241
-4.2000 2.4249 8.5241
0.0000 -4.8498 8.5241
Rb U Hg Se
2 3 1 8
direct
0.0000 0.0000 0.0000 Rb
0.3611 0.3611 0.3611 Rb
0.3613 0.3613 0.8582 U
0.3613 0.8582 0.3613 U
0.8582 0.3613 0.3613 U
0.7214 0.7214 0.7214 Hg
0.0998 0.0998 0.5560 Se
0.0998 0.5560 0.0998 Se
0.1343 0.1343 0.1343 Se
0.1618 0.6237 0.6237 Se
0.5560 0.0998 0.0997 Se
0.5858 0.5858 0.5858 Se
0.6237 0.1618 0.6237 Se
0.6237 0.6237 0.1618 Se
```

Top 8 peaks for 15 to 90 degrees two-theta, by angle:
4.802 Å, 18.48°, I = 44; 4.186 Å, 21.22°, I = 28; 3.768 Å, 23.61°, I = 82; 3.601 Å, 24.72°, I = 53; 3.161 Å, 28.23°, I = 84; 2.578 Å, 34.81°, I = 100; 2.401 Å, 37.46°, I = 55; 2.100 Å, 43.07°, I = 73

Calculated powder diffractogram of RbSi2Hg2 for Cu Kα, from a PBE-relaxed structure.
Lines closer than 0.1° are merged.

Crystal structure
```
RbSi2Hg2
1.0
-2.4338 2.4338 5.2814
2.4338 -2.4338 5.2814
2.4338 2.4338 -5.2814
Rb Si Hg
1 2 2
direct
0.0000 0.0000 0.0000 Rb
0.3883 0.3883 0.0000 Si
0.6117 0.6117 0.0000 Si
0.2500 0.7500 0.5000 Hg
0.7500 0.2500 0.5000 Hg
```

Top 8 peaks for 15 to 90 degrees two-theta, by angle:
5.281 Å, 16.79°, I = 39; 3.442 Å, 25.89°, I = 20; 2.884 Å, 31.01°, I = 100; 2.434 Å, 36.93°, I = 38; 2.210 Å, 40.82°, I = 18; 2.095 Å, 43.18°, I = 23; 1.790 Å, 51.03°, I = 19; 1.478 Å, 62.89°, I = 27

Calculated powder diffractogram of Rb2Si2Hg for Cu Kα, from a PBE-relaxed structure.
Lines closer than 0.1° are merged.

Crystal structure
```
Rb2Si2Hg
1.0
-3.2885 3.2885 4.9837
3.2885 -3.2885 4.9837
3.2885 3.2885 -4.9837
Rb Si Hg
2 2 1
direct
0.2500 0.7500 0.5000 Rb
0.7500 0.2500 0.5000 Rb
0.1069 0.1069 0.0000 Si
0.8931 0.8931 0.0000 Si
0.5000 0.5000 0.0000 Hg
```

Top 8 peaks for 15 to 90 degrees two-theta, by angle:
5.490 Å, 16.15°, I = 45; 3.400 Å, 26.21°, I = 100; 3.289 Å, 27.12°, I = 57; 2.966 Å, 30.14°, I = 24; 2.821 Å, 31.72°, I = 20; 2.325 Å, 38.72°, I = 22; 2.202 Å, 40.98°, I = 21; 1.919 Å, 47.36°, I = 40

Calculated powder diffractogram of RbSiHg2Te4 for Cu Kα, from a PBE-relaxed structure.
Lines closer than 0.1° are merged.

Crystal structure
```
RbSiHg2Te4
1.0
0.0000 5.6074 4.6761
5.6074 0.0000 4.6761
5.6074 5.6074 0.0000
Rb Si Hg Te
1 1 2 4
direct
0.0000 0.0000 0.0000 Rb
0.5003 0.5003 0.4997 Si
0.2508 0.2508 0.2492 Hg
0.7508 0.7508 0.7492 Hg
0.1607 0.5388 0.4612 Te
0.4614 0.8397 0.5386 Te
0.5388 0.1607 0.8393 Te
0.8397 0.4614 0.1603 Te
```

Top 8 peaks for 15 to 90 degrees two-theta, by angle:
4.676 Å, 18.98°, I = 22; 3.591 Å, 24.79°, I = 100; 3.316 Å, 26.89°, I = 34; 2.804 Å, 31.92°, I = 39; 2.508 Å, 35.81°, I = 20; 2.405 Å, 37.40°, I = 16; 2.210 Å, 40.83°, I = 47; 2.014 Å, 45.00°, I = 39

Calculated powder diffractogram of Rb2SnHg3 for Cu Kα, from a PBE-relaxed structure.
Lines closer than 0.1° are merged.

Crystal structure
```
Rb2SnHg3
1.0
6.2422 -2.6447 0.0000
6.2422 2.6447 0.0000
-6.0820 0.0000 6.5122
Rb Sn Hg
2 1 3
direct
0.0000 0.0000 0.0000 Rb
0.1272 0.1272 0.6416 Rb
0.3911 0.3911 0.2251 Sn
0.4085 0.4085 0.5951 Hg
0.7210 0.7210 0.4182 Hg
0.7494 0.7494 0.0800 Hg
```

Top 8 peaks for 15 to 90 degrees two-theta, by angle:
4.570 Å, 19.42°, I = 48; 3.256 Å, 27.39°, I = 87; 3.157 Å, 28.27°, I = 64; 2.858 Å, 31.30°, I = 52; 2.787 Å, 32.11°, I = 40; 2.645 Å, 33.90°, I = 69; 2.637 Å, 34.00°, I = 100; 1.941 Å, 46.80°, I = 35